Structure and computed powder X-ray diffraction pattern of Er8Os2Pt (a crystal structure in Alexandria, relaxed with PBE; Cu Kα, 1.54184 Å).
Intensities are scaled so that the largest is 100.

```
Er8Os2Pt
1.0
4.244 -6.200 0.000
4.244 6.200 0.000
-1.728 0.000 5.451
Er Os Pt
8 2 1
Cartesian
0.000 0.000 0.000 Er
0.318 1.630 3.276 Er
2.779 2.742 1.052 Er
0.318 -1.630 3.276 Er
3.444 1.631 4.327 Er
2.779 -2.742 1.052 Er
3.444 -1.631 4.327 Er
5.554 0.000 2.109 Er
1.880 3.871 3.775 Os
1.880 -3.871 3.775 Os
3.040 0.000 0.277 Pt
```

Main lines, most intense first (10° ≤ 2θ ≤ 90°):
| Position (°2θ) | I/Imax |
| --- | --- |
| 33.1 | 100 |
| 33.2 | 96 |
| 31.1 | 83 |
| 39.9 | 82 |
| 40.1 | 75 |
| 36.5 | 64 |